(1)
# CoReGe2
Calculated powder diffractogram, a wavelength of 1.5418 Å. Input: a PBE-relaxed structure.
Peak positions follow from Bragg's law for the DFT cell and can differ from measured ones.

Most intense lines, 2θ = 5–70°, by angle:
Position (°2θ)  I_rel
25.1  19
29.1  12
41.6  100
49.3  10
51.6  4
60.3  16
66.4  4
68.4  5

Cell and atoms:
```
4
Lattice="0.0000 3.0681 3.0681 3.0681 0.0000 3.0681 3.0681 3.0681 0.0000" Properties=species:S:1:pos:R:3 pbc="T T T"
Co 0.0000 0.0000 0.0000
Re 1.5340 1.5340 1.5340
Ge 3.0681 3.0681 3.0681
Ge 4.6021 4.6021 4.6021
```

(2)
# Rb2UBr6
Calculated powder diffractogram, a wavelength of 1.5418 Å. Input: a PBE-relaxed structure.
Peak positions follow from Bragg's law for the DFT cell and can differ from measured ones.

Most intense lines, 2θ = 5–70°, by angle:
Position (°2θ)  I_rel
13.7  74
15.8  31
22.4  36
26.3  43
27.5  46
31.9  100
39.3  22
45.7  67
47.9  20
56.8  21

Cell and atoms:
```
18
Lattice="7.9321 0.0000 0.0000 0.0000 7.9321 0.0000 0.0000 0.0000 11.2469" Properties=species:S:1:pos:R:3 pbc="T T T"
Rb 0.0000 3.9660 2.8117
Rb 0.0000 3.9660 8.4352
Rb 3.9660 0.0000 2.8117
Rb 3.9660 0.0000 8.4352
U 0.0000 0.0000 0.0000
U 3.9660 3.9660 5.6235
Br 0.0000 0.0000 2.7734
Br 0.0000 0.0000 8.4735
Br 1.7000 2.2088 0.0000
Br 1.7572 2.2660 5.6235
Br 2.2088 6.2320 0.0000
Br 2.2660 6.1749 5.6235
Br 3.9660 3.9660 2.8501
Br 3.9660 3.9660 8.3968
Br 5.6660 1.7572 5.6235
Br 5.7232 1.7000 0.0000
Br 6.1749 5.6660 5.6235
Br 6.2320 5.7232 0.0000
```

(3)
# Sr3Ti2N4
Calculated powder diffractogram, a wavelength of 1.5418 Å. Input: a PBE-relaxed structure.
Peak positions follow from Bragg's law for the DFT cell and can differ from measured ones.

Most intense lines, 2θ = 5–70°, by angle:
Position (°2θ)  I_rel
27.4  88
30.5  47
31.0  100
31.9  30
32.2  60
35.0  78
35.3  50
47.9  25
53.8  20
56.1  27

Cell and atoms:
```
36
Lattice="6.1099 0.0000 0.0000 0.0000 10.3642 0.0000 0.0000 0.0000 9.8048" Properties=species:S:1:pos:R:3 pbc="T T T"
Sr 0.6950 1.6353 0.7756
Sr 0.6950 3.5468 4.1268
Sr 1.5275 0.0000 3.9035
Sr 1.5275 5.1821 0.9989
Sr 2.3599 6.8174 4.1268
Sr 2.3599 8.7289 0.7756
Sr 3.7500 1.6353 9.0292
Sr 3.7500 3.5468 5.6780
Sr 4.5824 0.0000 5.9013
Sr 4.5824 5.1821 8.8059
Sr 5.4149 6.8174 5.6780
Sr 5.4149 8.7289 9.0292
Ti 0.8021 2.5910 7.3536
Ti 1.5275 0.0000 7.1844
Ti 1.5275 5.1821 7.5228
Ti 2.2529 7.7731 7.3536
Ti 3.8570 2.5910 2.4512
Ti 4.5824 0.0000 2.6204
Ti 4.5824 5.1821 2.2820
Ti 5.3079 7.7731 2.4512
N 0.0334 0.8598 8.1501
N 0.0334 4.3222 6.5571
N 1.0495 6.7520 8.5874
N 1.0495 8.7943 6.1198
N 2.0055 1.5699 6.1198
N 2.0055 3.6122 8.5874
N 3.0216 6.0419 6.5571
N 3.0216 9.5043 8.1501
N 3.0884 0.8598 1.6547
N 3.0884 4.3222 3.2477
N 4.1044 6.7520 1.2174
N 4.1044 8.7943 3.6850
N 5.0605 1.5699 3.6850
N 5.0605 3.6122 1.2174
N 6.0765 6.0419 3.2477
N 6.0765 9.5043 1.6547
```

(4)
# Ce2ZnIn
Calculated powder diffractogram, a wavelength of 1.5418 Å. Input: a PBE-relaxed structure.
Peak positions follow from Bragg's law for the DFT cell and can differ from measured ones.

Most intense lines, 2θ = 5–70°, by angle:
Position (°2θ)  I_rel
20.6  2
23.8  5
34.0  100
40.1  1
41.9  1
48.8  18
53.5  1
55.0  2
60.8  36

Cell and atoms:
```
4
Lattice="0.0000 3.7331 3.7331 3.7331 0.0000 3.7331 3.7331 3.7331 0.0000" Properties=species:S:1:pos:R:3 pbc="T T T"
Ce 1.8666 1.8666 1.8666
Ce 5.5997 5.5997 5.5997
Zn 0.0000 0.0000 0.0000
In 3.7331 3.7331 3.7331
```

(5)
# Sm4CrFe33C4
Calculated powder diffractogram, a wavelength of 1.5418 Å. Input: a PBE-relaxed structure.
Peak positions follow from Bragg's law for the DFT cell and can differ from measured ones.

Most intense lines, 2θ = 5–70°, by angle:
Position (°2θ)  I_rel
29.8  48
31.1  17
35.9  55
37.5  30
41.7  100
42.2  92
42.3  47
43.6  57
60.8  18
61.5  18

Cell and atoms:
```
42
Lattice="6.4802 0.0000 0.0000 0.7156 6.4646 0.0000 1.4596 1.3086 12.8578" Properties=species:S:1:pos:R:3 pbc="T T T"
Sm 0.0000 0.0000 0.0000
Sm 0.7383 0.6683 6.4316
Sm 2.3647 2.3048 1.9078
Sm 3.1450 3.0108 8.3657
Cr 4.4329 4.0783 3.5810
Fe 2.6619 5.3910 10.6200
Fe 1.9437 4.7381 4.1775
Fe 3.5333 3.2798 11.5469
Fe 2.7987 5.4512 1.9832
Fe 2.8114 2.6386 5.1187
Fe 3.5437 6.1132 8.4192
Fe 4.2665 5.5762 12.4405
Fe 4.2619 7.2376 10.6051
Fe 3.5371 6.6045 4.1754
Fe 3.5496 4.9225 6.0030
Fe 4.7363 1.3445 12.8269
Fe 4.0139 0.6967 6.3856
Fe 5.1465 4.7097 9.9979
Fe 4.8015 4.4094 0.9853
Fe 5.8884 7.0599 8.7785
Fe 5.5447 2.1628 10.6195
Fe 4.8169 1.5245 4.1807
Fe 5.1670 6.4143 2.3625
Fe 5.9126 3.7345 12.4544
Fe 5.5419 5.0722 7.3970
Fe 5.2014 3.0854 6.0319
Fe 5.8941 5.3917 4.7901
Fe 6.6624 6.0753 11.2230
Fe 6.3509 2.9650 8.4098
Fe 5.6197 2.3136 1.9722
Fe 7.5280 5.2091 8.7966
Fe 7.5454 3.5497 10.6258
Fe 6.8084 4.5408 2.3701
Fe 6.8346 2.8969 4.2013
Fe 8.2617 4.6731 12.8249
Fe 6.8169 0.3652 3.2598
Fe 7.5481 1.0378 9.6814
Fe 7.5468 4.0344 6.3751
C 1.5716 1.5057 4.1848
C 2.3018 2.1592 10.6115
C 4.4460 1.1789 0.9709
C 5.1758 1.8326 7.3948
```